Calculated X-ray diffraction stick pattern of TbBiC for Cu Kα (weighted mean of Kα1 and Kα2), from a crystal structure in Alexandria, relaxed with PBE.

Crystal structure
```
data_TbBiC
_chemical_formula_sum 'Tb4 Bi4 C4'
_symmetry_space_group_name_H-M 'I m m m'
_symmetry_Int_Tables_number 71
_symmetry_space_group_name_Hall '-I 2 2'
_cell_length_a 4.151
_cell_length_b 4.355
_cell_length_c 17.179
_cell_angle_alpha 90.00
_cell_angle_beta 90.00
_cell_angle_gamma 90.00
loop_
_atom_site_label
_atom_site_type_symbol
_atom_site_fract_x
_atom_site_fract_y
_atom_site_fract_z
Tb1 Tb 0.000 0.000 0.111
Bi1 Bi 0.000 0.000 0.310
C1 C 0.000 0.356 0.000
```

Largest 8 diffraction maxima, low angle first, 2θ from 15° to 90°:
d 3.005, 29.73 deg, rel. 100, (1 1 0)
d 2.836, 31.55 deg, rel. 23, (1 1 2)
d 2.697, 33.21 deg, rel. 73, (0 1 5)
d 2.647, 33.87 deg, rel. 62, (1 0 5)
d 2.177, 41.47 deg, rel. 21, (0 2 0)
d 2.075, 43.61 deg, rel. 21, (2 0 0)
d 1.681, 54.58 deg, rel. 36, (1 2 5)
d 1.645, 55.90 deg, rel. 33, (2 1 5)